For KLiScF6, a cell relaxed with GGA-PBE gives the computed powder diffractogram in this record (Cu Kα (weighted mean of Kα1 and Kα2)).
Peak positions follow from Bragg's law for the DFT cell and can differ from measured ones.

Principal peaks in the range 10° ≤ 2θ ≤ 90°, in order of rising 2θ:
| Position (°2θ) | I_rel | (hkl) |
| --- | --- | --- |
| 15.19 | 43 | 1 0 1 |
| 16.62 | 36 | 0 0 2 |
| 28.07 | 100 | 1 2 1 |
| 28.17 | 40 | 1 0 3 |
| 29.44 | 25 | 2 1 1 |
| 30.66 | 23 | 2 0 2 |
| 33.60 | 21 | 0 0 4 |
| 34.99 | 27 | 2 2 0 |
| 38.06 | 16 | 2 1 3 |
| 43.95 | 16 | 0 3 3 |
| 46.72 | 32 | 3 0 3 |
| 49.29 | 72 | 2 2 4 |

Atomic structure:
```
data_KLiScF6
_symmetry_space_group_name_H-M 'I m m a'
_symmetry_Int_Tables_number 74
_symmetry_space_group_name_Hall '-I 2b 2'
_cell_length_a 6.964
_cell_length_b 7.583
_cell_length_c 10.670
_cell_angle_alpha 90.00
_cell_angle_beta 90.00
_cell_angle_gamma 90.00
loop_
_atom_site_label
_atom_site_fract_x
_atom_site_fract_y
_atom_site_fract_z
_atom_site_occupancy
K1 0.000 0.250 0.120 1
Li1 0.250 0.250 0.750 1
Sc1 0.000 0.000 0.500 1
F1 0.000 0.250 0.425 1
F2 0.000 0.250 0.867 1
F3 0.205 0.056 0.626 1
```